For K3Tl2Pb9, DFT lattice parameters and positions (GGA-PBE) gives the simulated powder XRD pattern in this record (copper Kα).
No peak broadening, texture or thermal motion is included.

The 12 most intense peaks (2θ = 15–90°), in order of rising 2θ:
2θ/deg, d [Å], I (rel.), hkl
17.9, 4.947, 32.1, 1 1 0
19.7, 4.506, 32.3, 0 1 3
28.5, 3.130, 30.6, 0 2 4
28.7, 3.113, 84.1, 1 2 3
29.9, 2.984, 46.2, 1 3 2
30.5, 2.927, 34.3, 1 1 4
33.2, 2.700, 67.6, 2 0 0
34.0, 2.635, 84.4, 1 4 1
37.0, 2.432, 100.0, 1 3 4
37.2, 2.420, 23.0, 0 0 6
56.1, 1.640, 38.8, 1 4 7
66.2, 1.413, 26.8, 2 7 3

Structure:
```
data_K3Tl2Pb9
_chemical_formula_sum 'K6 Tl4 Pb18'
_space_group_name_H-M_alt 'I m m m'
_space_group_IT_number 71
_space_group_name_Hall '-I 2 2'
_cell_length_a 5.3995
_cell_length_b 12.3475
_cell_length_c 14.5205
_cell_angle_alpha 90.00
_cell_angle_beta 90.00
_cell_angle_gamma 90.00
loop_
_atom_site_label
_atom_site_fract_x
_atom_site_fract_y
_atom_site_fract_z
K1 0.0000 0.0000 0.0000
K2 0.0000 0.0000 0.2877
Tl1 0.0000 0.1568 0.5000
Pb1 0.0000 0.2814 0.1517
Pb2 0.0000 0.3647 0.3658
Pb3 0.0000 0.5000 0.0000
```